Record 1
CaTm6Se8: computed PXRD pattern (Cu Kα, 1.54184 Å), based on a PBE-relaxed structure.
Intensities are scaled so that the largest is 100.

Crystal structure
a b c (Å): 8.0328 8.0328 8.0328
angles (deg): 60.00 60.00 60.00
Sites, in units of the cell vectors:
Ca 0.0000 0.0000 0.0000
Tm 0.0000 0.0000 0.5000
Tm 0.0000 0.5000 0.0000
Tm 0.0000 0.5000 0.5000
Tm 0.5000 0.0000 0.0000
Tm 0.5000 0.0000 0.5000
Tm 0.5000 0.5000 0.0000
Se 0.2500 0.2500 0.2500
Se 0.2563 0.2563 0.7437
Se 0.2563 0.7437 0.2563
Se 0.2563 0.7437 0.7437
Se 0.7437 0.2563 0.2563
Se 0.7437 0.2563 0.7437
Se 0.7437 0.7437 0.2563
Se 0.7500 0.7500 0.7500

Peak list (10 most intense, 10° ≤ 2θ ≤ 90°, in order of rising 2θ)
d 5.680, 2θ = 15.60°, I = 16
d 4.016, 2θ = 22.13°, I = 14
d 3.279, 2θ = 27.19°, I = 11
d 2.840, 2θ = 31.50°, I = 100
d 2.540, 2θ = 35.33°, I = 9
d 2.008, 2θ = 45.15°, I = 73
d 1.640, 2θ = 56.09°, I = 26
d 1.420, 2θ = 65.76°, I = 12
d 1.270, 2θ = 74.74°, I = 33
d 1.159, 2θ = 83.35°, I = 25

---

Record 2
CaTm2Se3: computed PXRD pattern (Cu Kα, 1.54184 Å), based on a PBE-relaxed structure.
Intensities are scaled so that the largest is 100.

Crystal structure
a b c (Å): 7.0560 7.0560 7.0560
angles (deg): 146.59 131.98 59.76
Sites, in units of the cell vectors:
Ca 0.0000 0.0000 0.0000
Tm 0.3362 0.3362 0.0000
Tm 0.6638 0.6638 0.0000
Se 0.1708 0.6708 0.5000
Se 0.5000 0.0000 0.5000
Se 0.8292 0.3292 0.5000

Peak list (10 most intense, 10° ≤ 2θ ≤ 90°, in order of rising 2θ)
d 5.198, 2θ = 17.06°, I = 13
d 2.874, 2θ = 31.11°, I = 100
d 2.039, 2θ = 44.42°, I = 12
d 2.031, 2θ = 44.61°, I = 61
d 1.663, 2θ = 55.25°, I = 13
d 1.656, 2θ = 55.47°, I = 13
d 1.286, 2θ = 73.68°, I = 11
d 1.284, 2θ = 73.80°, I = 16
d 1.176, 2θ = 81.92°, I = 8
d 1.172, 2θ = 82.29°, I = 12

---

Record 3
Ca2TmSe3: computed PXRD pattern (Cu Kα, 1.54184 Å), based on a PBE-relaxed structure.
Intensities are scaled so that the largest is 100.

Crystal structure
a b c (Å): 13.6827 13.0463 7.1603
angles (deg): 79.43 69.61 30.96
Sites, in units of the cell vectors:
Ca 0.0426 0.0426 0.2074
Ca 0.1241 0.1241 0.6259
Ca 0.2074 0.2074 0.0426
Ca 0.3741 0.3741 0.8759
Ca 0.6259 0.6259 0.1241
Ca 0.7926 0.7926 0.9574
Ca 0.8759 0.8759 0.3741
Ca 0.9574 0.9574 0.7926
Tm 0.2918 0.2918 0.4582
Tm 0.4582 0.4582 0.2918
Tm 0.5418 0.5418 0.7082
Tm 0.7082 0.7082 0.5418
Se 0.0400 0.5403 0.2184
Se 0.1335 0.6165 0.6165
Se 0.2184 0.7014 0.0400
Se 0.2987 0.7816 0.4597
Se 0.3835 0.8665 0.8665
Se 0.4597 0.9600 0.2987
Se 0.5403 0.0400 0.7014
Se 0.6165 0.1335 0.1335
Se 0.7014 0.2184 0.5403
Se 0.7816 0.2987 0.9600
Se 0.8665 0.3835 0.3835
Se 0.9600 0.4597 0.7816

Peak list (10 most intense, 10° ≤ 2θ ≤ 90°, in order of rising 2θ)
d 6.516, 2θ = 13.59°, I = 25
d 2.921, 2θ = 30.60°, I = 100
d 2.066, 2θ = 43.81°, I = 61
d 2.062, 2θ = 43.91°, I = 12
d 1.689, 2θ = 54.33°, I = 13
d 1.685, 2θ = 54.47°, I = 13
d 1.461, 2θ = 63.71°, I = 12
d 1.306, 2θ = 72.32°, I = 21
d 1.194, 2θ = 80.44°, I = 12
d 1.191, 2θ = 80.64°, I = 12

---

- Which formula does entry 1 have?
  CaTm6Se8

---

- Which formula does entry 1 have?
  CaTm6Se8